(1)
For LiMnIrO6, the PBE+U geometry in Alexandria gives the computed powder X-ray diffraction pattern in this record (Cu Ka).
No peak broadening, texture or thermal motion is included.

Principal peaks in the range 10° ≤ 2θ ≤ 80°, by angle:
h k l	Position (°2θ)	I (rel.)
0 0 2	19.3	100.0
1 0 0	20.3	68.2
1 0 1	22.5	80.6
1 0 2	28.2	61.6
1 1 0	35.5	40.7
1 0 3	35.8	25.9
1 1 2	40.8	82.8
1 1 4	54.0	50.2
3 0 0	63.8	18.2
3 0 2	67.3	18.9

Atomic structure:
```
data_LiMnIrO6
_cell_length_a 5.0545
_cell_length_b 5.0545
_cell_length_c 9.1754
_cell_angle_alpha 90.00
_cell_angle_beta 90.00
_cell_angle_gamma 120.00
_symmetry_space_group_name_H-M 'P -3 1 c'
_symmetry_Int_Tables_number 163
_symmetry_space_group_name_Hall '-P 3 2c'
loop_
_atom_site_label
_atom_site_type_symbol
_atom_site_fract_x
_atom_site_fract_y
_atom_site_fract_z
Li1 Li 0.0000 0.0000 0.0000
Mn1 Mn 0.3333 0.6667 0.2500
Ir1 Ir 0.3333 0.6667 0.7500
O1 O 0.0013 0.3648 0.1362
```


(2)
For LiMn2IrO6, the PBE+U geometry in Alexandria gives the computed powder X-ray diffraction pattern in this record (Cu Ka).
No peak broadening, texture or thermal motion is included.

Principal peaks in the range 10° ≤ 2θ ≤ 80°, by angle:
h k l	Position (°2θ)	I (rel.)
0 0 3	18.7	52.6
1 0 1	21.0	100.0
0 1 2	23.6	45.6
1 0 4	32.3	51.5
1 1 0	35.0	55.5
0 1 5	37.6	25.5
1 1 3	40.0	47.9
0 2 4	48.4	19.5
1 1 6	52.6	49.9
3 0 0	62.8	20.9

Atomic structure:
```
data_LiMn2IrO6
_cell_length_a 5.1244
_cell_length_b 5.1244
_cell_length_c 14.2007
_cell_angle_alpha 90.00
_cell_angle_beta 90.00
_cell_angle_gamma 120.00
_symmetry_space_group_name_H-M 'R 3'
_symmetry_Int_Tables_number 146
_symmetry_space_group_name_Hall 'R 3'
loop_
_atom_site_label
_atom_site_type_symbol
_atom_site_fract_x
_atom_site_fract_y
_atom_site_fract_z
Li1 Li 0.0000 0.0000 0.0000
Mn1 Mn 0.0000 0.0000 0.2081
Mn2 Mn 0.0000 0.0000 0.7228
Ir1 Ir 0.0000 0.0000 0.5250
O1 O 0.0122 0.3166 0.1218
O2 O 0.0407 0.6918 0.2787
```